Computed powder X-ray diffraction pattern
Compound: Zr3TiP4
Radiation: Cu Kα (weighted mean of Kα1 and Kα2)
Structure: a GGA-PBE-relaxed structure
Kinematic intensities with the Lorentz-polarization factor, no thermal factor.

```
Zr3TiP4
1.0
6.400 0.000 0.000
0.000 7.385 0.000
-2.113 0.000 6.050
Zr Ti P
6 2 8
Direct
0.000 0.125 0.250 Zr
0.000 0.375 0.750 Zr
0.000 0.625 0.250 Zr
0.000 0.875 0.750 Zr
0.500 0.125 0.750 Zr
0.500 0.875 0.250 Zr
0.500 0.373 0.250 Ti
0.500 0.627 0.750 Ti
0.255 0.131 0.005 P
0.255 0.869 0.505 P
0.262 0.381 0.500 P
0.262 0.619 0.000 P
0.738 0.381 0.000 P
0.738 0.619 0.500 P
0.745 0.131 0.495 P
0.745 0.869 0.995 P
```

Main lines, by angle (2θ from 15° to 90°):
index  two_theta  intensity
2 0 0  29.5  20
1 2 -1  29.6  20
1 2 1  34.3  100
2 0 2  49.1  11
1 2 -3  49.3  56
4 0 -2  58.6  12
0 0 4  61.3  11
2 4 -2  61.5  11
0 4 4  82.5  10
3 2 -5  82.6  14